1.
This entry pairs a crystal structure of LaMo4As with its theoretical powder XRD pattern. Radiation: Cu Kα (weighted mean of Kα1 and Kα2). Structure: a DFT-relaxed cell (PBE, Alexandria).
Intensities are scaled so that the largest is 100.

Structural model:
Unit cell a=7.7136 b=7.7136 c=7.7136 alpha=90.00 beta=90.00 gamma=90.00
Space group F-43m (No. 216)
One atom of each set of equivalent atoms:
La  0.0000  0.0000  0.0000 x4
Mo  0.1232  0.1232  0.6232 x16
As  0.2500  0.2500  0.2500 x4

Principal peaks in the range 2θ from 10° to 80°, in order of rising 2θ:
- d 4.453, 19.94°, I 5.0
- d 3.857, 23.06°, I 3.6
- d 2.727, 32.84°, I 29.6
- d 2.326, 38.72°, I 100.0
- d 2.227, 40.51°, I 37.5
- d 1.928, 47.13°, I 3.5
- d 1.575, 58.63°, I 11.1
- d 1.484, 62.57°, I 31.9
- d 1.364, 68.85°, I 26.6
- d 1.220, 78.41°, I 4.7

2.
This entry pairs a crystal structure of SrBe2C with its theoretical powder XRD pattern. Radiation: Cu Kα (weighted mean of Kα1 and Kα2). Structure: a DFT-relaxed cell (PBE, Alexandria).
Intensities are scaled so that the largest is 100.

Structural model:
Unit cell a=7.9621 b=7.9621 c=7.9621 alpha=90.00 beta=90.00 gamma=90.00
Space group Fd-3m (No. 227, origin choice 2)
One atom of each set of equivalent atoms:
Sr  0.1250  0.1250  0.1250 x8
Be  0.0000  0.0000  0.5000 x16
C  0.1250  0.1250  0.6250 x8

Principal peaks in the range 2θ from 10° to 80°, in order of rising 2θ:
- d 4.597, 19.31°, I 48.6
- d 2.815, 31.79°, I 100.0
- d 2.401, 37.46°, I 48.3
- d 1.991, 45.57°, I 13.6
- d 1.827, 49.93°, I 14.2
- d 1.625, 56.63°, I 35.7
- d 1.532, 60.41°, I 16.3
- d 1.408, 66.42°, I 13.8
- d 1.346, 69.89°, I 10.6
- d 1.259, 75.52°, I 15.1

Copy entry 1 word for word.
This entry pairs a crystal structure of LaMo4As with its theoretical powder XRD pattern. Radiation: Cu Kα (weighted mean of Kα1 and Kα2). Structure: a DFT-relaxed cell (PBE, Alexandria).
Intensities are scaled so that the largest is 100.

Structural model:
Unit cell a=7.7136 b=7.7136 c=7.7136 alpha=90.00 beta=90.00 gamma=90.00
Space group F-43m (No. 216)
One atom of each set of equivalent atoms:
La  0.0000  0.0000  0.0000 x4
Mo  0.1232  0.1232  0.6232 x16
As  0.2500  0.2500  0.2500 x4

Principal peaks in the range 2θ from 10° to 80°, in order of rising 2θ:
- d 4.453, 19.94°, I 5.0
- d 3.857, 23.06°, I 3.6
- d 2.727, 32.84°, I 29.6
- d 2.326, 38.72°, I 100.0
- d 2.227, 40.51°, I 37.5
- d 1.928, 47.13°, I 3.5
- d 1.575, 58.63°, I 11.1
- d 1.484, 62.57°, I 31.9
- d 1.364, 68.85°, I 26.6
- d 1.220, 78.41°, I 4.7